# 1
For NaHg6, a crystal structure in Alexandria, relaxed with GGA-PBE gives the theoretical X-ray powder pattern in this record (Cu Kα).

Principal peaks in the range 10 to 80 degrees two-theta, low angle first:
- 15.09°, d = 5.872 Å, intensity 100
- 21.40°, d = 4.152 Å, intensity 30
- 26.29°, d = 3.390 Å, intensity 72
- 30.44°, d = 2.936 Å, intensity 20
- 34.14°, d = 2.626 Å, intensity 29
- 37.52°, d = 2.397 Å, intensity 74
- 40.65°, d = 2.220 Å, intensity 47
- 43.59°, d = 2.076 Å, intensity 40
- 46.39°, d = 1.957 Å, intensity 19
- 56.50°, d = 1.629 Å, intensity 21
- 63.35°, d = 1.468 Å, intensity 27
- 76.01°, d = 1.252 Å, intensity 30

Structural model:
```
data_NaHg6
_cell_length_a 8.305
_cell_length_b 8.305
_cell_length_c 8.305
_cell_angle_alpha 90.00
_cell_angle_beta 90.00
_cell_angle_gamma 90.00
_space_group_name_H-M_alt 'I m -3 m'
_space_group_IT_number 229
_space_group_name_Hall '-I 4 2 3'
loop_
_atom_site_label
_atom_site_fract_x
_atom_site_fract_y
_atom_site_fract_z
Na1 0.000 0.000 0.000
Hg1 0.000 0.250 0.500
```

# 2
For Na2Hg13, a crystal structure in Alexandria, relaxed with GGA-PBE gives the theoretical X-ray powder pattern in this record (Cu Kα).

Principal peaks in the range 10 to 80 degrees two-theta, low angle first:
- 11.92°, d = 7.426 Å, intensity 34
- 12.18°, d = 7.268 Å, intensity 43
- 19.68°, d = 4.510 Å, intensity 55
- 23.48°, d = 3.788 Å, intensity 63
- 31.04°, d = 2.881 Å, intensity 64
- 34.25°, d = 2.618 Å, intensity 45
- 34.82°, d = 2.576 Å, intensity 83
- 36.66°, d = 2.451 Å, intensity 71
- 36.93°, d = 2.434 Å, intensity 24
- 37.11°, d = 2.423 Å, intensity 100
- 54.58°, d = 1.681 Å, intensity 32
- 62.31°, d = 1.490 Å, intensity 25

Structural model:
```
data_Na2Hg13
_cell_length_a 8.8776
_cell_length_b 8.8776
_cell_length_c 22.2766
_cell_angle_alpha 90.00
_cell_angle_beta 90.00
_cell_angle_gamma 120.00
_space_group_name_H-M_alt 'R -3 m'
_space_group_IT_number 166
_space_group_name_Hall '-R 3 2"'
loop_
_atom_site_label
_atom_site_fract_x
_atom_site_fract_y
_atom_site_fract_z
Na1 0.0000 0.0000 0.2400
Hg1 0.0000 0.0000 0.0000
Hg2 0.0719 0.5360 0.5618
Hg3 0.0981 0.5490 0.2926
```

# 3
For NaHg, a crystal structure in Alexandria, relaxed with GGA-PBE gives the theoretical X-ray powder pattern in this record (Cu Kα).

Principal peaks in the range 10 to 80 degrees two-theta, low angle first:
- 18.38°, d = 4.827 Å, intensity 100
- 25.94°, d = 3.434 Å, intensity 44
- 28.21°, d = 3.163 Å, intensity 92
- 31.98°, d = 2.798 Å, intensity 86
- 37.26°, d = 2.413 Å, intensity 28
- 38.70°, d = 2.327 Å, intensity 87
- 38.81°, d = 2.320 Å, intensity 46
- 47.28°, d = 1.923 Å, intensity 43
- 54.87°, d = 1.673 Å, intensity 23
- 61.44°, d = 1.509 Å, intensity 21
- 61.67°, d = 1.504 Å, intensity 34
- 64.90°, d = 1.437 Å, intensity 23

Structural model:
```
data_NaHg
_cell_length_a 3.434
_cell_length_b 10.045
_cell_length_c 9.653
_cell_angle_alpha 90.00
_cell_angle_beta 90.00
_cell_angle_gamma 90.00
_space_group_name_H-M_alt 'A m m 2'
_space_group_IT_number 38
_space_group_name_Hall 'A 2 -2'
loop_
_atom_site_label
_atom_site_fract_x
_atom_site_fract_y
_atom_site_fract_z
Na1 0.000 0.000 0.000
Na2 0.000 0.167 0.501
Hg1 0.500 0.000 0.726
Hg2 0.500 0.166 0.226
```